Computed powder diffractogram of PrEuNbVO6 for a wavelength of 1.5418 Å, from a cell relaxed with PBE+U.

The 10 most intense peaks (10° ≤ 2θ ≤ 80°), in order of falling intensity:
Position (°2θ)	intensity	(hkl)
31.37	100.0	2 2 0
55.84	39.2	4 2 2
44.96	31.4	4 0 0
65.46	18.9	4 4 0
74.39	16.8	6 2 0
38.67	13.9	2 2 2
22.04	8.5	2 0 0
50.61	4.8	4 2 0
78.70	4.4	6 2 2
19.06	3.1	1 1 1

Crystal structure
Cell: 8.0654 8.0654 8.0654 Å, 90.00 90.00 90.00°
Space group F-43m (No. 216)
Unique sites:
Pr (0.0000, 0.0000, 0.0000)
Eu (0.0000, 0.0000, 0.5000)
Nb (0.2500, 0.2500, 0.7500)
V (0.2500, 0.2500, 0.2500)
O (0.0023, 0.2500, 0.7500)


Computed powder diffractogram of SmEuNbVO6 for a wavelength of 1.5418 Å, from a cell relaxed with PBE+U.

The 10 most intense peaks (10° ≤ 2θ ≤ 80°), in order of falling intensity:
Position (°2θ)	intensity	(hkl)
31.43	100.0	2 2 0
55.96	39.2	4 2 2
45.05	31.1	4 0 0
65.61	18.8	4 4 0
74.56	16.9	6 2 0
38.75	14.3	2 2 2
22.09	9.3	2 0 0
50.72	5.2	4 2 0
78.88	4.6	6 2 2
19.10	2.9	1 1 1

Crystal structure
Cell: 8.0496 8.0496 8.0496 Å, 90.00 90.00 90.00°
Space group F-43m (No. 216)
Unique sites:
Sm (0.0000, 0.0000, 0.0000)
Eu (0.0000, 0.0000, 0.5000)
Nb (0.2500, 0.2500, 0.2500)
V (0.2500, 0.2500, 0.7500)
O (0.0020, 0.2500, 0.2500)


Computed powder diffractogram of SrEuNbWO6 for a wavelength of 1.5418 Å, from a cell relaxed with PBE+U.

The 10 most intense peaks (10° ≤ 2θ ≤ 80°), in order of falling intensity:
Position (°2θ)	intensity	(hkl)
30.66	100.0	2 2 0
54.51	40.3	4 2 2
43.91	29.6	4 0 0
63.85	18.4	4 4 0
72.48	17.6	6 2 0
18.64	9.5	1 1 1
36.12	6.5	3 1 1
48.09	3.2	3 3 1
21.55	2.8	2 0 0
58.12	2.2	3 3 3

Crystal structure
Cell: 8.2472 8.2472 8.2472 Å, 90.00 90.00 90.00°
Space group F-43m (No. 216)
Unique sites:
Sr (0.0000, 0.0000, 0.0000)
Eu (0.0000, 0.0000, 0.5000)
Nb (0.2500, 0.2500, 0.7500)
W (0.2500, 0.2500, 0.2500)
O (0.0069, 0.2500, 0.7500)


Computed powder diffractogram of Eu2NbWO6 for a wavelength of 1.5418 Å, from a cell relaxed with PBE+U.

The 10 most intense peaks (10° ≤ 2θ ≤ 80°), in order of falling intensity:
Position (°2θ)	intensity	(hkl)
30.71	100.0	2 2 0
54.59	40.4	4 2 2
43.98	28.3	4 0 0
63.95	17.7	4 4 0
72.60	17.6	6 2 0
18.66	4.5	1 1 1
36.18	3.2	3 1 1
37.84	2.0	2 2 2
48.16	1.7	3 3 1
58.21	1.1	3 3 3

Crystal structure
Cell: 8.2354 8.2354 8.2354 Å, 90.00 90.00 90.00°
Space group Fm-3m (No. 225)
Unique sites:
Eu (0.2500, 0.2500, 0.2500)
Nb (0.0000, 0.0000, 0.0000)
W (0.0000, 0.0000, 0.5000)
O (0.0000, 0.0000, 0.2436)


Computed powder diffractogram of EuNiO3 for a wavelength of 1.5418 Å, from a cell relaxed with PBE+U.

The 10 most intense peaks (10° ≤ 2θ ≤ 80°), in order of falling intensity:
Position (°2θ)	intensity	(hkl)
33.02	100.0	0 0 2
47.20	18.5	2 0 2
32.72	17.7	2 0 0
59.03	17.7	1 2 3
47.54	11.6	0 4 0
23.10	11.4	1 0 1
69.24	10.2	2 4 2
58.58	9.7	3 2 1
59.13	8.7	0 4 2
40.82	8.3	0 2 2

Crystal structure
Cell: 5.4746 7.6499 5.4177 Å, 90.00 90.00 90.00°
Space group Pnma (No. 62)
Unique sites:
Eu (0.0465, 0.2500, 0.0071)
Ni (0.0000, 0.0000, 0.5000)
O (0.0171, 0.7500, 0.4214)
O (0.2019, 0.5396, 0.7980)


Computed powder diffractogram of EuNiO3 for a wavelength of 1.5418 Å, from a cell relaxed with PBE+U.

The 8 most intense peaks (10° ≤ 2θ ≤ 80°), in order of falling intensity:
Position (°2θ)	intensity	(hkl)
33.41	100.0	1 1 0
59.73	37.7	2 1 1
47.98	30.4	2 0 0
70.19	17.9	2 2 0
41.23	16.9	1 1 1
23.46	13.8	1 0 0
54.07	7.1	2 1 0
75.15	3.9	3 0 0

Crystal structure
Cell: 3.7924 3.7924 3.7924 Å, 90.00 90.00 90.00°
Space group Pm-3m (No. 221)
Unique sites:
Eu (0.0000, 0.0000, 0.0000)
Ni (0.5000, 0.5000, 0.5000)
O (0.0000, 0.5000, 0.5000)


Computed powder diffractogram of SrSmEuNiO6 for a wavelength of 1.5418 Å, from a cell relaxed with PBE+U.

The 10 most intense peaks (10° ≤ 2θ ≤ 80°), in order of falling intensity:
Position (°2θ)	intensity	(hkl)
31.00	100.0	2 2 0
55.15	38.9	4 2 2
44.42	30.3	4 0 0
64.63	18.2	4 4 0
73.40	17.7	6 2 0
18.84	10.6	1 1 1
36.53	8.6	3 1 1
48.65	4.9	3 3 1
38.22	3.0	2 2 2
58.81	2.6	3 3 3

Crystal structure
Cell: 8.1582 8.1582 8.1582 Å, 90.00 90.00 90.00°
Space group F-43m (No. 216)
Unique sites:
Sr (0.0000, 0.0000, 0.0000)
Sm (0.2500, 0.2500, 0.2500)
Eu (0.0000, 0.0000, 0.5000)
Ni (0.2500, 0.2500, 0.7500)
O (0.0226, 0.2500, 0.7500)


Computed powder diffractogram of Sr2Eu2TlNi2O9 for a wavelength of 1.5418 Å, from a cell relaxed with PBE+U.

The 10 most intense peaks (10° ≤ 2θ ≤ 80°), in order of falling intensity:
Position (°2θ)	intensity	(hkl)
31.39	100.0	1 7 1
33.37	33.6	2 0 0
33.02	32.7	0 0 2
24.97	31.8	1 3 1
47.65	30.4	2 0 2
58.40	17.8	3 7 1
57.96	16.3	1 7 3
42.18	12.8	0 14 0
54.80	12.5	2 14 0
45.33	12.5	2 10 0

Crystal structure
Cell: 5.3705 29.9950 5.4251 Å, 90.00 90.00 90.00°
Space group Fmm2 (No. 42)
Unique sites:
Sr (0.0000, 0.0847, 0.0000)
Eu (0.0000, 0.2041, 0.9935)
Tl (0.0000, 0.0000, 0.5373)
Ni (0.0000, 0.1478, 0.4949)
O (0.0000, 0.0000, 0.9718)
O (0.0000, 0.0706, 0.4938)
O (0.0000, 0.2187, 0.4933)
O (0.2498, 0.1493, 0.2445)


Computed powder diffractogram of SrEuNiWO6 for a wavelength of 1.5418 Å, from a cell relaxed with PBE+U.

The 10 most intense peaks (10° ≤ 2θ ≤ 80°), in order of falling intensity:
Position (°2θ)	intensity	(hkl)
31.65	100.0	2 2 0
56.37	39.6	4 2 2
45.37	30.0	4 0 0
19.23	19.7	1 1 1
66.11	18.3	4 4 0
75.15	17.2	6 2 0
37.30	10.8	3 1 1
49.70	4.6	3 3 1
60.13	4.1	5 1 1
69.56	4.0	5 3 1

Crystal structure
Cell: 7.9956 7.9956 7.9956 Å, 90.00 90.00 90.00°
Space group F-43m (No. 216)
Unique sites:
Sr (0.0000, 0.0000, 0.0000)
Eu (0.0000, 0.0000, 0.5000)
Ni (0.2500, 0.2500, 0.2500)
W (0.2500, 0.2500, 0.7500)
O (0.0066, 0.2500, 0.7500)


Computed powder diffractogram of Eu2NiWO6 for a wavelength of 1.5418 Å, from a cell relaxed with PBE+U.

The 10 most intense peaks (10° ≤ 2θ ≤ 80°), in order of falling intensity:
Position (°2θ)	intensity	(hkl)
31.72	100.0	2 2 0
56.50	39.6	4 2 2
45.47	28.4	4 0 0
66.26	17.5	4 4 0
75.33	17.2	6 2 0
19.27	11.7	1 1 1
37.38	6.3	3 1 1
39.11	3.4	2 2 2
49.81	2.7	3 3 1
60.27	2.4	5 1 1

Crystal structure
Cell: 7.9796 7.9796 7.9796 Å, 90.00 90.00 90.00°
Space group Fm-3m (No. 225)
Unique sites:
Eu (0.2500, 0.2500, 0.2500)
Ni (0.0000, 0.0000, 0.0000)
W (0.0000, 0.0000, 0.5000)
O (0.0000, 0.0000, 0.2558)


Computed powder diffractogram of PrEuZrVO6 for a wavelength of 1.5418 Å, from a cell relaxed with PBE+U.

The 10 most intense peaks (10° ≤ 2θ ≤ 80°), in order of falling intensity:
Position (°2θ)	intensity	(hkl)
31.14	100.0	2 2 0
55.41	39.3	4 2 2
44.62	31.5	4 0 0
64.94	19.0	4 4 0
73.78	16.9	6 2 0
38.39	14.4	2 2 2
21.88	8.9	2 0 0
50.23	5.1	4 2 0
78.03	4.6	6 2 2
69.42	2.7	4 4 2

Crystal structure
Cell: 8.1228 8.1228 8.1228 Å, 90.00 90.00 90.00°
Space group F-43m (No. 216)
Unique sites:
Pr (0.0000, 0.0000, 0.0000)
Eu (0.0000, 0.0000, 0.5000)
Zr (0.2500, 0.2500, 0.2500)
V (0.2500, 0.2500, 0.7500)
O (0.0049, 0.2500, 0.7500)


Computed powder diffractogram of RbEuW2O8 for a wavelength of 1.5418 Å, from a cell relaxed with PBE+U.

The 10 most intense peaks (10° ≤ 2θ ≤ 80°), in order of falling intensity:
Position (°2θ)	intensity	(hkl)
26.78	100.0	2 2 0
28.81	81.7	2 2 -2
32.94	54.4	0 4 0
30.78	34.9	0 0 2
27.78	23.1	3 1 -2
45.71	19.8	0 4 2
54.69	18.2	2 2 -4
16.31	18.0	0 2 0
48.66	14.8	5 3 -2
53.29	14.8	3 5 0

Crystal structure
Cell: 10.9573 10.8721 7.5596 Å, 90.00 129.78 90.00°
Space group C2/c (No. 15)
Unique sites:
Rb (0.0000, 0.1999, 0.2500)
Eu (0.0000, 0.2258, 0.7500)
W (0.1932, 0.4949, 0.7212)
O (0.0220, 0.3932, 0.9720)
O (0.1318, 0.0803, 0.6903)
O (0.1870, 0.4345, 0.4409)
O (0.2247, 0.1560, 0.1332)